Diffraction record for NbVN. The powder diffraction line list is simulated, not measured: it uses a structure optimized by DFT (GGA-PBE) and Cu Kα (weighted mean of Kα1 and Kα2).
Kinematic intensities with the Lorentz-polarization factor, no thermal factor.

Atomic structure:
Cell: 5.0672 10.6333 2.9087 Å, 90.00 90.00 90.00°
Space group Pnnm (No. 58)
Asymmetric unit:
Nb  0.1291  0.2015  0.0000 x4
V  0.2475  0.9647  0.5000 x4
N  0.0834  0.6272  0.0000 x4

Most intense lines, 2θ from 15° to 90°, in order of rising 2θ:
h k l	Position (°2θ)	intensity
1 0 1	35.59	61
2 1 0	36.46	66
1 1 1	36.61	100
1 4 0	38.23	92
1 2 1	39.54	46
0 3 1	40.10	82


Diffraction record for BaSiH2O4. The powder diffraction line list is simulated, not measured: it uses a structure optimized by DFT (GGA-PBE) and Cu Kα (weighted mean of Kα1 and Kα2).
Kinematic intensities with the Lorentz-polarization factor, no thermal factor.

Atomic structure:
Cell: 7.2149 7.5798 7.7059 Å, 90.00 89.98 77.15°
Space group P-1 (No. 2)
Asymmetric unit:
Ba  0.0816  0.2884  0.2911 x2
Ba  0.4184  0.2113  0.7912 x2
Si  0.0865  0.7581  0.2359 x2
Si  0.4133  0.7416  0.7360 x2
H  0.1049  0.0249  0.9293 x2
H  0.2312  0.9060  0.5100 x2
H  0.2684  0.5932  0.0101 x2
H  0.3950  0.4750  0.4295 x2
O  0.0386  0.3313  0.6316 x2
O  0.0548  0.1552  0.9375 x2
O  0.1984  0.9056  0.3097 x2
O  0.2398  0.5864  0.1409 x2
O  0.2592  0.9126  0.6409 x2
O  0.3020  0.5937  0.8100 x2
O  0.4452  0.3447  0.4375 x2
O  0.4621  0.1684  0.1318 x2

Most intense lines, 2θ from 15° to 90°, in order of rising 2θ:
h k l	Position (°2θ)	intensity
-1 1 1	22.48	44
0 0 2	23.08	80
0 2 0	24.09	70
2 0 1	27.88	100
2 2 -1	33.12	59
0 2 2	33.61	42


Diffraction record for TbSm4Dy4. The powder diffraction line list is simulated, not measured: it uses a structure optimized by DFT (GGA-PBE) and Cu Kα (weighted mean of Kα1 and Kα2).
Kinematic intensities with the Lorentz-polarization factor, no thermal factor.

Atomic structure:
Cell: 10.7522 10.7522 5.0571 Å, 90.00 90.00 90.00°
Space group I4/mmm (No. 139)
Asymmetric unit:
Tb  0.0000  0.0000  0.0000 x2
Sm  0.0000  0.3319  0.0000 x8
Dy  0.1662  0.1662  0.5000 x8

Most intense lines, 2θ from 15° to 90°, in order of rising 2θ:
h k l	Position (°2θ)	intensity
3 0 1	30.57	100
3 3 0	35.45	51
6 0 0	51.00	36
6 3 1	60.60	29
3 0 3	60.71	14
9 0 1	83.13	18


Diffraction record for CsCuNiTe2. The powder diffraction line list is simulated, not measured: it uses a structure optimized by DFT (GGA-PBE) and Cu Kα (weighted mean of Kα1 and Kα2).
Kinematic intensities with the Lorentz-polarization factor, no thermal factor.

Atomic structure:
Cell: 6.2963 13.4412 7.5967 Å, 90.00 90.00 90.00°
Space group Cmme (No. 67)
Asymmetric unit:
Cs  0.0000  0.2500  0.2369 x4
Cu  0.0000  0.0000  0.5000 x4
Ni  0.2500  0.0000  0.0000 x4
Te  0.0000  0.0841  0.7896 x8

Most intense lines, 2θ from 15° to 90°, in order of rising 2θ:
h k l	Position (°2θ)	intensity
1 3 1	27.10	100
2 0 0	28.35	24
2 0 2	37.09	18
1 3 3	43.50	19
0 6 2	47.10	18
3 3 1	49.43	19


Diffraction record for Dy4Rh3. The powder diffraction line list is simulated, not measured: it uses a structure optimized by DFT (GGA-PBE) and Cu Kα (weighted mean of Kα1 and Kα2).
Kinematic intensities with the Lorentz-polarization factor, no thermal factor.

Atomic structure:
Cell: 4.8087 4.8087 23.7405 Å, 90.00 90.00 120.00°
Space group R-3m (No. 166, hexagonal axes)
Asymmetric unit:
Dy  0.0000  0.0000  0.1242 x6
Dy  0.0000  0.0000  0.3749 x6
Rh  0.0000  0.0000  0.2494 x6
Rh  0.0000  0.0000  0.5000 x3

Most intense lines, 2θ from 15° to 90°, in order of rising 2θ:
h k l	Position (°2θ)	intensity
1 0 4	26.14	28
0 1 8	37.20	100
1 1 0	37.40	99
2 0 8	53.78	35
1 0 16	66.95	18
1 2 8	67.34	35


Diffraction record for CuSiF. The powder diffraction line list is simulated, not measured: it uses a structure optimized by DFT (GGA-PBE) and Cu Kα (weighted mean of Kα1 and Kα2).
Kinematic intensities with the Lorentz-polarization factor, no thermal factor.

Atomic structure:
Cell: 9.2928 4.5006 4.0491 Å, 90.00 90.00 90.00°
Space group Pbcm (No. 57)
Asymmetric unit:
Cu  0.0915  0.0821  0.2500 x4
Si  0.2031  0.5795  0.2500 x4
F  0.3744  0.5153  0.2500 x4

Most intense lines, 2θ from 15° to 90°, in order of rising 2θ:
h k l	Position (°2θ)	intensity
2 1 1	35.54	100
3 1 1	41.85	65
0 0 2	44.77	47
0 2 1	46.15	47
1 2 1	47.23	35
4 1 1	49.57	46


Diffraction record for MgTe6O13. The powder diffraction line list is simulated, not measured: it uses a structure optimized by DFT (GGA-PBE) and Cu Kα (weighted mean of Kα1 and Kα2).
Kinematic intensities with the Lorentz-polarization factor, no thermal factor.

Atomic structure:
Cell: 10.3340 10.3340 19.4016 Å, 90.00 90.00 120.00°
Space group R-3 (No. 148, hexagonal axes)
Asymmetric unit:
Mg  0.0000  0.0000  0.2445 x6
Te  0.0608  0.8296  0.9073 x18
Te  0.0843  0.8459  0.4044 x18
O  0.0000  0.0000  0.4113 x6
O  0.0045  0.7518  0.5527 x18
O  0.0512  0.8581  0.8119 x18
O  0.0541  0.8693  0.0706 x18
O  0.0940  0.2043  0.3066 x18

Most intense lines, 2θ from 15° to 90°, in order of rising 2θ:
h k l	Position (°2θ)	intensity
2 0 2	21.87	24
0 0 6	27.59	38
1 2 2	27.93	100
3 -1 4	32.26	48
4 1 0	46.50	26
5 -4 6	54.92	25


Diffraction record for Pr6Au3O. The powder diffraction line list is simulated, not measured: it uses a structure optimized by DFT (GGA-PBE) and Cu Kα (weighted mean of Kα1 and Kα2).
Kinematic intensities with the Lorentz-polarization factor, no thermal factor.

Atomic structure:
Cell: 6.7266 7.8802 12.4116 Å, 90.00 122.45 90.00°
Space group P2_1/c (No. 14)
Asymmetric unit:
Pr  0.0763  0.0437  0.2310 x4
Pr  0.2109  0.7121  0.0673 x4
Pr  0.3787  0.1563  0.0580 x4
Au  0.3065  0.1098  0.7340 x4
Au  0.5000  0.0000  0.5000 x2
O  0.0000  0.0000  0.0000 x2

Most intense lines, 2θ from 15° to 90°, in order of rising 2θ:
h k l	Position (°2θ)	intensity
1 2 -2	27.61	45
1 0 2	28.73	50
2 1 -3	30.16	100
1 2 -3	31.38	64
0 0 4	34.28	62
1 3 -1	36.73	39


Diffraction record for Pu2Bi3Pb3. The powder diffraction line list is simulated, not measured: it uses a structure optimized by DFT (GGA-PBE) and Cu Kα (weighted mean of Kα1 and Kα2).
Kinematic intensities with the Lorentz-polarization factor, no thermal factor.

Atomic structure:
Cell: 5.8770 5.9042 7.0155 Å, 90.00 90.00 90.00°
Space group Pmmm (No. 47)
Asymmetric unit:
Pu  0.0000  0.0000  0.2488 x2
Bi  0.0000  0.5000  0.0000 x1
Bi  0.5000  0.0000  0.0000 x1
Bi  0.5000  0.0000  0.5000 x1
Pb  0.0000  0.5000  0.5000 x1
Pb  0.5000  0.5000  0.2486 x2

Most intense lines, 2θ from 15° to 90°, in order of rising 2θ:
h k l	Position (°2θ)	intensity
0 2 0	30.28	32
2 0 0	30.42	32
1 1 2	33.40	100
2 2 0	43.45	25
1 3 2	55.80	24
3 1 2	55.97	24


Diffraction record for Zr8TlH6. The powder diffraction line list is simulated, not measured: it uses a structure optimized by DFT (GGA-PBE) and Cu Kα (weighted mean of Kα1 and Kα2).
Kinematic intensities with the Lorentz-polarization factor, no thermal factor.

Atomic structure:
Cell: 9.0642 9.0642 9.5034 Å, 90.00 90.00 120.00°
Space group R-3 (No. 148, hexagonal axes)
Asymmetric unit:
Zr  0.0000  0.0000  0.1676 x6
Zr  0.0010  0.3429  0.3947 x18
Tl  0.0000  0.0000  0.5000 x3
H  0.0726  0.2387  0.9009 x18

Most intense lines, 2θ from 15° to 90°, in order of rising 2θ:
h k l	Position (°2θ)	intensity
3 0 0	34.27	100
1 1 3	34.55	98
4 -2 3	49.45	35
3 3 0	61.37	18
4 1 3	61.55	35
2 -1 6	62.07	18


Diffraction record for Ho5PaBi6. The powder diffraction line list is simulated, not measured: it uses a structure optimized by DFT (GGA-PBE) and Cu Kα (weighted mean of Kα1 and Kα2).
Kinematic intensities with the Lorentz-polarization factor, no thermal factor.

Atomic structure:
Cell: 7.7253 13.3859 7.7233 Å, 90.00 109.47 90.00°
Space group C2/m (No. 12)
Asymmetric unit:
Ho  0.0000  0.0000  0.0000 x2
Ho  0.0000  0.1666  0.5000 x4
Ho  0.0000  0.3330  0.0000 x4
Pa  0.0000  0.5000  0.5000 x2
Bi  0.2505  0.0000  0.7494 x4
Bi  0.2500  0.1665  0.2495 x8

Most intense lines, 2θ from 15° to 90°, in order of rising 2θ:
h k l	Position (°2θ)	intensity
1 3 1	28.30	100
2 0 2	40.45	78
4 0 0	50.09	28
2 6 2	58.53	13
4 6 0	66.26	37
5 3 1	73.56	28


Diffraction record for Ba3Zn2In2Pt4. The powder diffraction line list is simulated, not measured: it uses a structure optimized by DFT (GGA-PBE) and Cu Kα (weighted mean of Kα1 and Kα2).
Kinematic intensities with the Lorentz-polarization factor, no thermal factor.

Atomic structure:
Cell: 4.5551 4.5551 16.6471 Å, 90.00 90.00 120.00°
Space group P-3m1 (No. 164)
Asymmetric unit:
Ba  0.0000  0.0000  0.0000 x1
Ba  0.0000  0.0000  0.2727 x2
Zn  0.3333  0.6667  0.1356 x2
In  0.3333  0.6667  0.5631 x2
Pt  0.3333  0.6667  0.3969 x2
Pt  0.3333  0.6667  0.8660 x2

Most intense lines, 2θ from 15° to 90°, in order of rising 2θ:
h k l	Position (°2θ)	intensity
0 1 2	24.98	54
1 0 3	27.75	41
0 1 4	31.24	97
1 1 0	39.57	100
0 1 6	39.72	27
1 1 7	55.90	39